[1]
Theoretical X-ray diffraction stick pattern of Li2BiO3 for Cu Kα (weighted mean of Kα1 and Kα2), from a PBE-relaxed structure.

Crystal structure
abc: 5.780 5.769 9.478
angles: 90.00 90.00 90.00
Element x y z (fractional)
Li (0.000, 0.000, 0.000)
Li (0.000, 0.500, 0.500)
Li (0.246, 0.250, 0.250)
Li (0.254, 0.750, 0.250)
Li (0.500, 0.000, 0.000)
Li (0.500, 0.500, 0.500)
Li (0.746, 0.250, 0.750)
Li (0.754, 0.750, 0.750)
Bi (0.250, 0.000, 0.600)
Bi (0.250, 0.500, 0.900)
Bi (0.750, 0.000, 0.400)
Bi (0.750, 0.500, 0.100)
O (0.085, 0.712, 0.076)
O (0.085, 0.788, 0.424)
O (0.091, 0.750, 0.750)
O (0.409, 0.250, 0.750)
O (0.415, 0.212, 0.424)
O (0.415, 0.288, 0.076)
O (0.585, 0.712, 0.924)
O (0.585, 0.788, 0.576)
O (0.591, 0.750, 0.250)
O (0.909, 0.250, 0.250)
O (0.915, 0.212, 0.576)
O (0.915, 0.288, 0.924)

The 12 most intense peaks (10 to 90 degrees two-theta), low angle first:
two_theta  d/Å  intensity
18.0  4.930  100
28.9  3.093  58
31.0  2.887  19
32.3  2.772  21
36.0  2.493  26
36.1  2.490  14
44.4  2.041  12
45.4  1.999  23
49.8  1.832  10
53.8  1.704  23
55.9  1.645  8
60.6  1.528  8

=====

[2]
Theoretical X-ray diffraction stick pattern of Li6Bi5O14 for Cu Kα (weighted mean of Kα1 and Kα2), from a PBE-relaxed structure.

Crystal structure
abc: 8.203 8.203 10.667
angles: 90.00 90.00 95.34
Element x y z (fractional)
Li (0.006, 0.994, 0.500)
Li (0.185, 0.354, 0.979)
Li (0.204, 0.505, 0.445)
Li (0.272, 0.728, 0.023)
Li (0.354, 0.185, 0.479)
Li (0.495, 0.796, 0.445)
Li (0.505, 0.204, 0.945)
Li (0.646, 0.815, 0.979)
Li (0.728, 0.272, 0.523)
Li (0.796, 0.495, 0.945)
Li (0.815, 0.646, 0.479)
Li (0.994, 0.006, 0.000)
Bi (0.001, 0.628, 0.725)
Bi (0.065, 0.238, 0.720)
Bi (0.238, 0.065, 0.220)
Bi (0.372, 0.999, 0.725)
Bi (0.462, 0.538, 0.209)
Bi (0.538, 0.462, 0.709)
Bi (0.628, 0.001, 0.225)
Bi (0.762, 0.935, 0.720)
Bi (0.935, 0.762, 0.220)
Bi (0.999, 0.372, 0.225)
O (0.006, 0.424, 0.858)
O (0.060, 0.940, 0.337)
O (0.081, 0.192, 0.096)
O (0.134, 0.866, 0.099)
O (0.146, 0.458, 0.620)
O (0.192, 0.081, 0.596)
O (0.200, 0.275, 0.338)
O (0.215, 0.513, 0.123)
O (0.222, 0.778, 0.795)
O (0.275, 0.200, 0.838)
O (0.411, 0.589, 0.393)
O (0.424, 0.006, 0.358)
O (0.458, 0.146, 0.120)
O (0.487, 0.785, 0.123)
O (0.513, 0.215, 0.623)
O (0.542, 0.854, 0.620)
O (0.576, 0.994, 0.858)
O (0.589, 0.411, 0.893)
O (0.725, 0.800, 0.338)
O (0.778, 0.222, 0.295)
O (0.785, 0.487, 0.623)
O (0.800, 0.725, 0.838)
O (0.808, 0.919, 0.096)
O (0.854, 0.542, 0.120)
O (0.866, 0.134, 0.599)
O (0.919, 0.808, 0.596)
O (0.940, 0.060, 0.837)
O (0.994, 0.576, 0.358)

The 12 most intense peaks (10 to 90 degrees two-theta), low angle first:
two_theta  d/Å  intensity
16.6  5.333  100
21.8  4.084  11
24.9  3.577  32
25.3  3.524  32
27.5  3.242  11
28.9  3.093  11
30.4  2.940  42
30.7  2.916  13
33.6  2.667  13
34.6  2.595  12
34.8  2.579  16
42.5  2.128  34

=====

[3]
Theoretical X-ray diffraction stick pattern of Li5Bi4O12 for Cu Kα (weighted mean of Kα1 and Kα2), from a PBE-relaxed structure.

Crystal structure
abc: 5.516 10.242 10.769
angles: 74.36 77.81 79.55
Element x y z (fractional)
Li (0.066, 0.098, 0.375)
Li (0.262, 0.396, 0.733)
Li (0.289, 0.394, 0.318)
Li (0.297, 0.251, 0.053)
Li (0.341, 0.890, 0.186)
Li (0.659, 0.110, 0.814)
Li (0.703, 0.749, 0.947)
Li (0.711, 0.606, 0.682)
Li (0.738, 0.604, 0.267)
Li (0.934, 0.902, 0.625)
Bi (0.169, 0.925, 0.889)
Bi (0.222, 0.608, 0.475)
Bi (0.230, 0.590, 0.978)
Bi (0.361, 0.109, 0.592)
Bi (0.639, 0.891, 0.408)
Bi (0.770, 0.410, 0.022)
Bi (0.778, 0.392, 0.525)
Bi (0.831, 0.075, 0.111)
O (0.004, 0.535, 0.367)
O (0.016, 0.067, 0.731)
O (0.067, 0.754, 0.836)
O (0.140, 0.241, 0.456)
O (0.143, 0.421, 0.914)
O (0.210, 0.061, 0.004)
O (0.277, 0.945, 0.519)
O (0.332, 0.759, 0.034)
O (0.390, 0.427, 0.125)
O (0.480, 0.535, 0.616)
O (0.486, 0.044, 0.238)
O (0.499, 0.754, 0.332)
O (0.501, 0.246, 0.668)
O (0.514, 0.956, 0.762)
O (0.520, 0.465, 0.384)
O (0.610, 0.573, 0.875)
O (0.668, 0.241, 0.966)
O (0.723, 0.055, 0.481)
O (0.790, 0.939, 0.996)
O (0.857, 0.579, 0.086)
O (0.860, 0.759, 0.544)
O (0.933, 0.246, 0.164)
O (0.984, 0.933, 0.269)
O (0.996, 0.465, 0.633)

The 12 most intense peaks (10 to 90 degrees two-theta), low angle first:
two_theta  d/Å  intensity
17.4  5.109  100
17.5  5.060  97
18.1  4.888  26
21.9  4.064  18
29.7  3.003  20
32.6  2.751  22
33.1  2.703  16
33.6  2.671  29
34.0  2.633  48
36.8  2.445  23
40.7  2.217  30
56.2  1.637  17

=====

[4]
Theoretical X-ray diffraction stick pattern of Li8BiO3 for Cu Kα (weighted mean of Kα1 and Kα2), from a PBE-relaxed structure.

Crystal structure
abc: 5.306 5.306 5.306
angles: 90.00 90.00 90.00
Element x y z (fractional)
Li (0.225, 0.225, 0.225)
Li (0.225, 0.225, 0.775)
Li (0.225, 0.775, 0.225)
Li (0.225, 0.775, 0.775)
Li (0.775, 0.225, 0.225)
Li (0.775, 0.225, 0.775)
Li (0.775, 0.775, 0.225)
Li (0.775, 0.775, 0.775)
Bi (0.500, 0.500, 0.500)
O (0.000, 0.000, 0.500)
O (0.000, 0.500, 0.000)
O (0.500, 0.000, 0.000)

The 12 most intense peaks (10 to 90 degrees two-theta), low angle first:
two_theta  d/Å  intensity
16.7  5.306  100
23.7  3.752  99
29.1  3.064  75
33.8  2.653  27
37.9  2.373  65
41.7  2.166  47
48.5  1.876  35
51.7  1.769  33
54.7  1.678  22
57.6  1.600  31
65.9  1.418  27
73.6  1.287  21

=====

[5]
Theoretical X-ray diffraction stick pattern of LiBi3O5 for Cu Kα (weighted mean of Kα1 and Kα2), from a PBE-relaxed structure.

Crystal structure
abc: 10.162 8.026 6.442
angles: 90.00 90.00 90.00
Element x y z (fractional)
Li (0.109, 0.250, 0.198)
Li (0.391, 0.750, 0.698)
Li (0.609, 0.250, 0.302)
Li (0.891, 0.750, 0.802)
Bi (0.029, 0.750, 0.391)
Bi (0.177, 0.550, 0.945)
Bi (0.177, 0.950, 0.945)
Bi (0.323, 0.050, 0.445)
Bi (0.323, 0.450, 0.445)
Bi (0.471, 0.250, 0.891)
Bi (0.529, 0.750, 0.109)
Bi (0.677, 0.550, 0.555)
Bi (0.677, 0.950, 0.555)
Bi (0.823, 0.050, 0.055)
Bi (0.823, 0.450, 0.055)
Bi (0.971, 0.250, 0.609)
O (0.013, 0.750, 0.034)
O (0.111, 0.013, 0.313)
O (0.111, 0.487, 0.313)
O (0.191, 0.750, 0.685)
O (0.220, 0.250, 0.623)
O (0.280, 0.750, 0.123)
O (0.309, 0.250, 0.185)
O (0.389, 0.513, 0.813)
O (0.389, 0.987, 0.813)
O (0.487, 0.250, 0.534)
O (0.513, 0.750, 0.466)
O (0.611, 0.013, 0.187)
O (0.611, 0.487, 0.187)
O (0.691, 0.750, 0.815)
O (0.720, 0.250, 0.877)
O (0.780, 0.750, 0.377)
O (0.809, 0.250, 0.315)
O (0.889, 0.513, 0.687)
O (0.889, 0.987, 0.687)
O (0.987, 0.250, 0.966)

The 12 most intense peaks (10 to 90 degrees two-theta), low angle first:
two_theta  d/Å  intensity
20.7  4.293  29
24.9  3.573  29
27.6  3.227  100
28.3  3.149  67
29.1  3.070  28
29.8  2.998  94
31.2  2.868  37
37.5  2.401  59
38.1  2.365  21
49.5  1.842  22
52.0  1.759  25
52.4  1.745  21

=====

[6]
Theoretical X-ray diffraction stick pattern of Li2BiO3 for Cu Kα (weighted mean of Kα1 and Kα2), from a PBE-relaxed structure.

Crystal structure
abc: 5.679 5.679 10.417
angles: 94.49 94.49 118.21
Element x y z (fractional)
Li (0.000, 0.500, 0.000)
Li (0.098, 0.290, 0.492)
Li (0.246, 0.754, 0.750)
Li (0.290, 0.098, 0.992)
Li (0.500, 0.000, 0.500)
Li (0.710, 0.902, 0.008)
Li (0.754, 0.246, 0.250)
Li (0.902, 0.710, 0.508)
Bi (0.087, 0.913, 0.250)
Bi (0.424, 0.576, 0.250)
Bi (0.576, 0.424, 0.750)
Bi (0.913, 0.087, 0.750)
O (0.041, 0.186, 0.131)
O (0.120, 0.642, 0.377)
O (0.186, 0.041, 0.631)
O (0.241, 0.426, 0.871)
O (0.358, 0.880, 0.123)
O (0.426, 0.241, 0.371)
O (0.574, 0.759, 0.629)
O (0.642, 0.120, 0.877)
O (0.759, 0.574, 0.129)
O (0.814, 0.959, 0.369)
O (0.880, 0.358, 0.623)
O (0.959, 0.814, 0.869)

The 12 most intense peaks (10 to 90 degrees two-theta), low angle first:
two_theta  d/Å  intensity
17.2  5.148  100
18.2  4.873  23
18.8  4.718  40
20.9  4.256  31
25.2  3.539  23
31.0  2.882  24
32.2  2.783  45
33.5  2.678  27
38.0  2.365  24
39.7  2.268  43
42.9  2.107  20
55.1  1.667  15